Record 1
Structure and computed X-ray diffraction stick pattern of Th2Al6Tc (a cell relaxed with GGA-PBE; copper Kα).
Intensities are scaled so that the largest is 100.

Main lines, in order of rising 2θ (10 to 80 degrees two-theta):
5.779 Å, I = 31; 3.868 Å, I = 100; 3.006 Å, I = 78; 2.667 Å, I = 55; 2.527 Å, I = 72; 2.374 Å, I = 73; 1.934 Å, I = 23; 1.863 Å, I = 31; 1.627 Å, I = 36; 1.503 Å, I = 20

Cell and atoms:
Lattice parameters (Å, degrees): 6.012 6.012 5.779 90.00 90.00 120.00
Positions (direct):
Th  0.333  0.667  0.168
Th  0.667  0.333  0.832
Al  0.173  0.345  0.681
Al  0.173  0.827  0.681
Al  0.345  0.173  0.319
Al  0.655  0.827  0.681
Al  0.827  0.173  0.319
Al  0.827  0.655  0.319
Tc  0.000  0.000  0.000

***

Record 2
Structure and computed X-ray diffraction stick pattern of AlTl4Tc (a cell relaxed with GGA-PBE; copper Kα).
Intensities are scaled so that the largest is 100.

Main lines, in order of rising 2θ (10 to 80 degrees two-theta):
5.028 Å, I = 66; 2.626 Å, I = 100; 2.514 Å, I = 78; 2.177 Å, I = 27; 1.998 Å, I = 19; 1.676 Å, I = 35; 1.540 Å, I = 35; 1.472 Å, I = 14; 1.328 Å, I = 12; 1.313 Å, I = 32

Cell and atoms:
Lattice parameters (Å, degrees): 6.158 6.158 6.158 60.00 60.00 60.00
Positions (direct):
Al  0.000  0.000  0.000
Tl  0.375  0.375  0.375
Tl  0.375  0.375  0.874
Tl  0.375  0.874  0.375
Tl  0.874  0.375  0.375
Tc  0.750  0.750  0.750

***

Record 3
Structure and computed X-ray diffraction stick pattern of TmAl10Tc2 (a cell relaxed with GGA-PBE; copper Kα).
Intensities are scaled so that the largest is 100.

Main lines, in order of rising 2θ (10 to 80 degrees two-theta):
5.482 Å, I = 36; 5.166 Å, I = 34; 3.232 Å, I = 58; 3.205 Å, I = 31; 2.630 Å, I = 35; 2.290 Å, I = 34; 2.283 Å, I = 48; 2.278 Å, I = 40; 2.249 Å, I = 100; 1.603 Å, I = 45

Cell and atoms:
Lattice parameters (Å, degrees): 6.895 6.895 9.158 90.00 90.00 97.04
Positions (direct):
Tm  0.129  0.871  0.750
Tm  0.871  0.129  0.250
Al  0.140  0.410  0.750
Al  0.150  0.850  0.096
Al  0.150  0.850  0.404
Al  0.214  0.472  0.250
Al  0.227  0.227  0.000
Al  0.227  0.227  0.500
Al  0.375  0.625  0.538
Al  0.375  0.625  0.962
Al  0.410  0.140  0.250
Al  0.472  0.214  0.750
Al  0.528  0.786  0.250
Al  0.590  0.860  0.750
Al  0.625  0.375  0.038
Al  0.625  0.375  0.462
Al  0.773  0.773  0.000
Al  0.773  0.773  0.500
Al  0.786  0.528  0.750
Al  0.850  0.150  0.596
Al  0.850  0.150  0.904
Al  0.860  0.590  0.250
Tc  0.000  0.500  0.000
Tc  0.000  0.500  0.500
Tc  0.500  0.000  0.000
Tc  0.500  0.000  0.500

***

Record 4
Structure and computed X-ray diffraction stick pattern of Al2VTc2 (a cell relaxed with GGA-PBE; copper Kα).
Intensities are scaled so that the largest is 100.

Main lines, in order of rising 2θ (10 to 80 degrees two-theta):
3.027 Å, I = 43; 2.646 Å, I = 13; 2.316 Å, I = 36; 2.191 Å, I = 100; 2.140 Å, I = 41; 1.642 Å, I = 12; 1.588 Å, I = 11; 1.458 Å, I = 19; 1.426 Å, I = 16; 1.275 Å, I = 14

Cell and atoms:
Lattice parameters (Å, degrees): 6.769 6.769 3.175 90.00 90.00 90.00
Positions (direct):
Al  0.132  0.368  0.000
Al  0.368  0.868  0.000
Al  0.632  0.132  0.000
Al  0.868  0.632  0.000
V  0.000  0.000  0.000
V  0.500  0.500  0.000
Tc  0.168  0.668  0.500
Tc  0.332  0.168  0.500
Tc  0.668  0.832  0.500
Tc  0.832  0.332  0.500